# 1
Structure and computed powder diffraction line list of NdPuH8Rh2 (a cell relaxed with GGA-PBE; Cu Ka).
Lines closer than 0.1° are merged.

Structure:
```
data_NdPuH8Rh2
_cell_length_a 4.6317
_cell_length_b 4.6317
_cell_length_c 18.9697
_cell_angle_alpha 90.00
_cell_angle_beta 90.00
_cell_angle_gamma 120.00
_symmetry_space_group_name_H-M 'R -3 m'
_symmetry_Int_Tables_number 166
_symmetry_space_group_name_Hall '-R 3 2"'
loop_
_atom_site_label
_atom_site_type_symbol
_atom_site_fract_x
_atom_site_fract_y
_atom_site_fract_z
Nd1 Nd 0.0000 0.0000 0.0000
Pu1 Pu 0.0000 0.0000 0.5000
H1 H 0.0000 0.0000 0.1349
H2 H 0.0228 0.5114 0.0580
Rh1 Rh 0.0000 0.0000 0.2266
```

Peak list (6 most intense, 10 to 80 degrees two-theta, in order of rising 2θ)
| 2θ (°) | Rel. int. | h k l |
| --- | --- | --- |
| 14.01 | 19 | 0 0 3 |
| 29.16 | 100 | 1 0 4 |
| 38.89 | 53 | 1 1 0 |
| 44.38 | 23 | 0 1 8 |
| 49.33 | 24 | 0 2 4 |
| 64.53 | 21 | 2 1 4 |

=====

# 2
Structure and computed powder diffraction line list of NdPuHS2 (a cell relaxed with GGA-PBE; Cu Ka).
Lines closer than 0.1° are merged.

Structure:
```
data_NdPuHS2
_cell_length_a 4.0069
_cell_length_b 4.0069
_cell_length_c 11.9198
_cell_angle_alpha 90.00
_cell_angle_beta 90.00
_cell_angle_gamma 90.00
_symmetry_space_group_name_H-M 'P 4/n m m'
_symmetry_Int_Tables_number 129
loop_
_symmetry_equiv_pos_as_xyz
'x,y,z'
'-x,-y,-z'
'-y+1/2,x,z'
'y+1/2,-x,-z'
'-x+1/2,-y+1/2,z'
'x+1/2,y+1/2,-z'
'y,-x+1/2,z'
'-y,x+1/2,-z'
'x+1/2,-y,-z'
'-x+1/2,y,z'
'-y,-x,-z'
'y,x,z'
'-x,y+1/2,-z'
'x,-y+1/2,z'
'y+1/2,x+1/2,-z'
'-y+1/2,-x+1/2,z'
loop_
_atom_site_label
_atom_site_type_symbol
_atom_site_fract_x
_atom_site_fract_y
_atom_site_fract_z
Nd1 Nd 0.2500 0.2500 0.1179
Pu1 Pu 0.2500 0.2500 0.6013
H1 H 0.2500 0.7500 0.5000
S1 S 0.2500 0.2500 0.3493
S2 S 0.2500 0.2500 0.8690
```

Peak list (6 most intense, 10 to 80 degrees two-theta, in order of rising 2θ)
| 2θ (°) | Rel. int. | h k l |
| --- | --- | --- |
| 26.81 | 100 | 1 0 2 |
| 29.99 | 33 | 0 0 4 |
| 31.58 | 73 | 1 1 0 |
| 44.10 | 46 | 1 1 4 |
| 45.26 | 27 | 2 0 0 |
| 53.39 | 33 | 2 1 2 |

=====

# 3
Structure and computed powder diffraction line list of Nd2H5Rh2 (a cell relaxed with GGA-PBE; Cu Ka).
Lines closer than 0.1° are merged.

Structure:
```
data_Nd2H5Rh2
_cell_length_a 15.8255
_cell_length_b 5.2393
_cell_length_c 5.2419
_cell_angle_alpha 90.00
_cell_angle_beta 109.22
_cell_angle_gamma 90.00
_symmetry_space_group_name_H-M 'C 1 2/c 1'
_symmetry_Int_Tables_number 15
loop_
_symmetry_equiv_pos_as_xyz
'x,y,z'
'-x,-y,-z'
'-x,y,-z+1/2'
'x,-y,z+1/2'
'x+1/2,y+1/2,z'
'-x+1/2,-y+1/2,-z'
'-x+1/2,y+1/2,-z+1/2'
'x+1/2,-y+1/2,z+1/2'
loop_
_atom_site_label
_atom_site_type_symbol
_atom_site_fract_x
_atom_site_fract_y
_atom_site_fract_z
Nd1 Nd 0.1205 0.2501 0.3705
H1 H 0.0000 0.0000 0.0000
H2 H 0.1233 0.2606 0.8732
H3 H 0.2483 0.5000 0.2479
Rh1 Rh 0.0000 0.2702 0.7500
Rh2 Rh 0.2500 0.2500 0.0000
```

Peak list (6 most intense, 10 to 80 degrees two-theta, in order of rising 2θ)
| 2θ (°) | Rel. int. | h k l |
| --- | --- | --- |
| 34.08 | 100 | 3 1 1 |
| 34.22 | 50 | 2 0 -2 |
| 48.75 | 9 | 8 0 0 |
| 49.17 | 18 | 2 2 -2 |
| 60.89 | 14 | 6 0 2 |
| 61.17 | 27 | 1 1 3 |